[1]
The following is a theoretical PXRD pattern of LiAc3Ge3. It was derived from the GGA-PBE geometry in Alexandria, using Cu Kα.
Lines closer than 0.1° are merged.

Crystal structure
a = 11.8327 Å, b = 4.6847 Å, c = 15.1450 Å
α = 90.00°, β = 110.26°, γ = 90.00°
Space group C2/m (No. 12)
Symmetry-distinct sites (fractional):
Li 0.2457 0.0000 0.4115
Ac 0.0313 0.5000 0.3808
Ac 0.1043 0.5000 0.9228
Ac 0.2469 0.5000 0.2265
Ge 0.0420 0.0000 0.2289
Ge 0.1085 0.0000 0.0760
Ge 0.1252 0.0000 0.5466

Most intense lines, 15° ≤ 2θ ≤ 90°, by angle:
- 29.68°, I 67, hkl 3 1 -1
- 29.86°, I 88, hkl 1 1 3
- 30.25°, I 48, hkl 4 0 -2
- 30.36°, I 100, hkl 1 1 -4
- 36.47°, I 42, hkl 3 1 2
- 38.43°, I 47, hkl 0 2 0

[2]
The following is a theoretical PXRD pattern of LiAcMnGe2. It was derived from the GGA-PBE geometry in Alexandria, using Cu Kα.
Lines closer than 0.1° are merged.

Crystal structure
a = 4.3927 Å, b = 4.3927 Å, c = 10.7375 Å
α = 90.00°, β = 90.00°, γ = 90.00°
Space group I-4m2 (No. 119)
Symmetry-distinct sites (fractional):
Li 0.0000 0.0000 0.0000
Ac 0.0000 0.5000 0.2500
Mn 0.0000 0.0000 0.5000
Ge 0.0000 0.5000 0.6251

Most intense lines, 15° ≤ 2θ ≤ 90°, by angle:
- 28.74°, I 59, hkl 1 1 0
- 32.26°, I 100, hkl 1 0 3
- 33.33°, I 70, hkl 1 1 2
- 41.10°, I 44, hkl 2 0 0
- 47.09°, I 46, hkl 1 0 5
- 53.19°, I 49, hkl 2 1 3

[3]
The following is a theoretical PXRD pattern of LiAcGeN. It was derived from the GGA-PBE geometry in Alexandria, using Cu Kα.
Lines closer than 0.1° are merged.

Crystal structure
a = 4.2376 Å, b = 3.6619 Å, c = 5.4330 Å
α = 90.00°, β = 112.88°, γ = 90.00°
Space group Pm (No. 6)
Symmetry-distinct sites (fractional):
Li 0.0000 0.0000 0.0000
Ac 0.3052 0.5000 0.6233
Ge 0.6302 0.0000 0.2509
N 0.7800 0.0000 0.6300

Most intense lines, 15° ≤ 2θ ≤ 90°, by angle:
- 17.72°, I 54, hkl 0 0 1
- 22.79°, I 60, hkl 1 0 -1
- 30.24°, I 63, hkl 0 1 1
- 33.56°, I 100, hkl 1 1 0
- 34.20°, I 51, hkl 1 0 1
- 56.73°, I 28, hkl 1 1 -3

[4]
The following is a theoretical PXRD pattern of LiAc2NiGe2. It was derived from the GGA-PBE geometry in Alexandria, using Cu Kα.
Lines closer than 0.1° are merged.

Crystal structure
a = 6.3802 Å, b = 14.0290 Å, c = 6.3677 Å
α = 90.00°, β = 90.00°, γ = 90.00°
Space group Ibam (No. 72)
Symmetry-distinct sites (fractional):
Li 0.0000 0.0000 0.2500
Ac 0.2442 0.3441 0.0000
Ni 0.0000 0.5000 0.2500
Ge 0.2372 0.4059 0.5000

Most intense lines, 15° ≤ 2θ ≤ 90°, by angle:
- 23.46°, I 81, hkl 1 2 1
- 28.00°, I 100, hkl 0 0 2
- 32.34°, I 88, hkl 1 4 1
- 38.16°, I 80, hkl 0 4 2
- 40.01°, I 63, hkl 2 0 2
- 52.35°, I 46, hkl 1 4 3

[5]
The following is a theoretical PXRD pattern of LiAcGe2O6. It was derived from the GGA-PBE geometry in Alexandria, using Cu Kα.
Lines closer than 0.1° are merged.

Crystal structure
a = 11.1221 Å, b = 9.6839 Å, c = 6.0768 Å
α = 90.00°, β = 114.23°, γ = 90.00°
Space group C2/c (No. 15)
Symmetry-distinct sites (fractional):
Li 0.0000 0.2166 0.2500
Ac 0.0000 0.1476 0.7500
Ge 0.2089 0.4244 0.6767
O 0.1169 0.0766 0.1827
O 0.1219 0.2740 0.5621
O 0.1638 0.4480 0.9370

Most intense lines, 15° ≤ 2θ ≤ 90°, by angle:
- 17.37°, I 49, hkl 1 1 -1
- 23.12°, I 60, hkl 1 1 1
- 25.96°, I 100, hkl 2 2 -1
- 27.95°, I 44, hkl 3 1 0
- 29.03°, I 29, hkl 1 3 0
- 33.94°, I 34, hkl 2 2 1

[6]
The following is a theoretical PXRD pattern of LiAc2GeRh6. It was derived from the GGA-PBE geometry in Alexandria, using Cu Kα.
Lines closer than 0.1° are merged.

Crystal structure
a = 6.4290 Å, b = 6.4462 Å, c = 9.1068 Å
α = 90.00°, β = 90.00°, γ = 90.00°
Space group Immm (No. 71)
Symmetry-distinct sites (fractional):
Li 0.0000 0.0000 0.0000
Ac 0.0000 0.5000 0.2515
Ge 0.0000 0.0000 0.5000
Rh 0.0000 0.0000 0.2419
Rh 0.2397 0.2442 0.0000

Most intense lines, 15° ≤ 2θ ≤ 90°, by angle:
- 27.71°, I 25, hkl 2 0 0
- 34.11°, I 100, hkl 0 2 2
- 39.59°, I 67, hkl 2 2 0
- 57.22°, I 38, hkl 0 4 0
- 68.31°, I 26, hkl 2 4 2
- 68.40°, I 13, hkl 4 2 2

[7]
The following is a theoretical PXRD pattern of LiAc2Ge2Rh. It was derived from the GGA-PBE geometry in Alexandria, using Cu Kα.
Lines closer than 0.1° are merged.

Crystal structure
a = 6.3939 Å, b = 14.6024 Å, c = 6.2244 Å
α = 90.00°, β = 90.00°, γ = 90.00°
Space group Ibam (No. 72)
Symmetry-distinct sites (fractional):
Li 0.0000 0.0000 0.2500
Ac 0.2421 0.3416 0.0000
Ge 0.2495 0.0958 0.0000
Rh 0.0000 0.5000 0.2500

Most intense lines, 15° ≤ 2θ ≤ 90°, by angle:
- 23.37°, I 77, hkl 1 2 1
- 27.91°, I 43, hkl 2 0 0
- 31.67°, I 100, hkl 1 4 1
- 37.39°, I 47, hkl 2 4 0
- 37.99°, I 45, hkl 0 4 2
- 40.45°, I 69, hkl 2 0 2

[8]
The following is a theoretical PXRD pattern of LiAc2TcGe6. It was derived from the GGA-PBE geometry in Alexandria, using Cu Kα.
Lines closer than 0.1° are merged.

Crystal structure
a = 6.4020 Å, b = 6.4020 Å, c = 36.6418 Å
α = 90.00°, β = 90.00°, γ = 120.00°
Space group R-3m (No. 166, hexagonal axes)
Symmetry-distinct sites (fractional):
Li 0.0000 0.0000 0.0724
Ac 0.0000 0.0000 0.2119
Ac 0.0000 0.0000 0.3880
Tc 0.0000 0.0000 0.0000
Tc 0.0000 0.0000 0.5000
Ge 0.0558 0.5279 0.7956
Ge 0.0665 0.5332 0.3671

Most intense lines, 15° ≤ 2θ ≤ 90°, by angle:
- 20.08°, I 36, hkl 0 1 5
- 27.87°, I 65, hkl 1 1 0
- 29.23°, I 100, hkl 0 0 12
- 34.59°, I 92, hkl 2 0 5
- 36.68°, I 62, hkl 0 2 7
- 40.82°, I 39, hkl 0 2 10

> Which formula does entry 6 have?

LiAc2GeRh6